Record 1
The following is a simulated XRD peak list of Th2PS. It was derived from the PBE geometry in Alexandria, using Cu Kα (weighted mean of Kα1 and Kα2).
Intensities are scaled so that the largest is 100.

The 10 most intense peaks (2θ from 15° to 90°), low angle first:
2θ (°)  intensity
25.25  32.6
25.50  31.2
26.28  67.8
31.91  100.0
36.19  31.3
44.94  41.9
52.24  29.6
52.40  28.6
56.17  20.5
74.66  18.0

Crystal structure
abc: 4.0341 4.0341 14.1089
angles: 90.00 90.00 120.00
Space group P6_3/mmc (No. 194)
Unique sites:
Th 0.3333 0.6667 0.1150 [4 per cell]
P 0.0000 0.0000 0.0000 [2 per cell]
S 0.3333 0.6667 0.7500 [2 per cell]

Record 2
The following is a simulated XRD peak list of LaIn2I. It was derived from the PBE geometry in Alexandria, using Cu Kα (weighted mean of Kα1 and Kα2).
Intensities are scaled so that the largest is 100.

The 6 most intense peaks (2θ from 15° to 90°), low angle first:
2θ (°)  intensity
31.47  100.0
45.11  18.2
56.03  37.8
65.69  11.6
74.66  16.0
83.26  4.0

Crystal structure
abc: 8.040 8.040 8.040
angles: 90.00 90.00 90.00
Space group Fm-3m (No. 225)
Unique sites:
La 0.000 0.000 0.000 [4 per cell]
In 0.250 0.250 0.250 [8 per cell]
I 0.000 0.000 0.500 [4 per cell]